Record 1
The following is a computed powder XRD pattern of HfIr2PdCl. It was derived from a crystal structure in Alexandria, relaxed with PBE, using Cu Kα (weighted mean of Kα1 and Kα2).

Cell lengths 4.8040, 4.8040, 4.9736 Å; angles 90.00, 90.00, 90.00 degrees
Fractional coordinates of all 5 atoms:
Hf 0.0000 0.0000 0.0000
Ir 0.0000 0.5000 0.5000
Ir 0.5000 0.0000 0.5000
Pd 0.0000 0.0000 0.5000
Cl 0.5000 0.5000 0.0000

Principal peaks in the range 10° ≤ 2θ ≤ 90°, in order of rising 2θ:
2θ (°)  Rel. int.
17.83  33
18.47  50
31.90  100
36.12  38
37.44  69
53.00  50
53.99  24
64.09  27
66.69  25
88.56  18

***

Record 2
The following is a computed powder XRD pattern of Tm6Ag5Pt. It was derived from a crystal structure in Alexandria, relaxed with PBE, using Cu Kα (weighted mean of Kα1 and Kα2).

Cell lengths 7.9840, 7.9840, 7.1156 Å; angles 90.00, 90.00, 143.33 degrees
Fractional coordinates of all 12 atoms:
Tm 0.0000 0.0000 0.2393
Tm 0.0000 0.0000 0.7607
Tm 0.3389 0.6611 0.2460
Tm 0.3389 0.6611 0.7540
Tm 0.6611 0.3389 0.2460
Tm 0.6611 0.3389 0.7540
Ag 0.1673 0.8327 0.5000
Ag 0.1744 0.8256 0.0000
Ag 0.5000 0.5000 0.5000
Ag 0.8256 0.1744 0.0000
Ag 0.8327 0.1673 0.5000
Pt 0.5000 0.5000 0.0000

Principal peaks in the range 10° ≤ 2θ ≤ 90°, in order of rising 2θ:
2θ (°)  Rel. int.
25.01  3
35.54  20
35.68  100
51.32  21
63.90  14
64.01  7
64.17  21
75.54  9
86.39  6
86.52  9